No. 1
The following is a simulated XRD peak list of TbSm4Pb4. It was derived from a structure optimized by DFT (GGA-PBE), using Cu Kα (weighted mean of Kα1 and Kα2).

```
data_TbSm4Pb4
_chemical_formula_sum 'Tb2 Sm8 Pb8'
_cell_length_a 9.635
_cell_length_b 9.635
_cell_length_c 6.447
_cell_angle_alpha 90.00
_cell_angle_beta 90.00
_cell_angle_gamma 90.00
_space_group_name_H-M_alt 'P 42/n'
_space_group_IT_number 86
loop_
_space_group_symop_operation_xyz
'x,y,z'
'-x,-y,-z'
'-y,x+1/2,z+1/2'
'y,-x+1/2,-z+1/2'
'-x+1/2,-y+1/2,z'
'x+1/2,y+1/2,-z'
'y+1/2,-x,z+1/2'
'-y+1/2,x,-z+1/2'
loop_
_atom_site_label
_atom_site_type_symbol
_atom_site_fract_x
_atom_site_fract_y
_atom_site_fract_z
_atom_site_occupancy
Tb1 Tb 0.250 0.250 0.250 1
Sm1 Sm 0.030 0.666 0.132 1
Pb1 Pb 0.032 0.650 0.625 1
```

Main lines, by intensity (2θ from 5° to 70°):
2θ/deg	Rel. int.	hkl
29.28	100.0	1 3 0
34.75	34.2	1 2 2
44.01	24.1	2 3 2
41.93	22.7	4 2 0
48.09	20.8	4 1 2
68.88	17.6	5 5 0
59.05	12.8	2 5 2
65.52	12.0	1 3 4
16.54	7.1	1 0 1
39.61	6.8	3 0 2


No. 2
The following is a simulated XRD peak list of Tb3Sm2Pb4. It was derived from a structure optimized by DFT (GGA-PBE), using Cu Kα (weighted mean of Kα1 and Kα2).

```
data_Tb3Sm2Pb4
_chemical_formula_sum 'Tb6 Sm4 Pb8'
_cell_length_a 8.520
_cell_length_b 8.444
_cell_length_c 8.200
_cell_angle_alpha 90.00
_cell_angle_beta 112.05
_cell_angle_gamma 90.00
_space_group_name_H-M_alt 'P 1 21/c 1'
_space_group_IT_number 14
_space_group_name_Hall '-P 2ybc'
loop_
_atom_site_label
_atom_site_type_symbol
_atom_site_fract_x
_atom_site_fract_y
_atom_site_fract_z
_atom_site_occupancy
Tb1 Tb 0.000 0.000 0.000 1
Tb2 Tb 0.257 0.160 0.766 1
Sm1 Sm 0.305 0.679 0.945 1
Pb1 Pb 0.011 0.641 0.140 1
Pb2 Pb 0.414 0.038 0.174 1
```

Main lines, by intensity (2θ from 5° to 70°):
2θ/deg	Rel. int.	hkl
29.98	100.0	2 2 -1
31.55	88.6	1 1 2
34.00	85.6	3 0 0
34.54	79.2	1 1 -3
31.03	59.4	2 2 0
30.49	54.4	1 2 -2
27.84	46.4	2 1 -2
33.33	41.4	3 0 -2
28.50	34.4	1 2 1
47.28	27.3	1 4 1


No. 3
The following is a simulated XRD peak list of Tb3Sm2Tm6Pb. It was derived from a structure optimized by DFT (GGA-PBE), using Cu Kα (weighted mean of Kα1 and Kα2).

```
data_Tb3Sm2Tm6Pb
_chemical_formula_sum 'Tb6 Sm4 Tm12 Pb2'
_cell_length_a 6.058
_cell_length_b 10.499
_cell_length_c 11.637
_cell_angle_alpha 90.00
_cell_angle_beta 100.06
_cell_angle_gamma 90.00
_space_group_name_H-M_alt 'C 1 2/m 1'
_space_group_IT_number 12
_space_group_name_Hall '-C 2y'
loop_
_atom_site_label
_atom_site_type_symbol
_atom_site_fract_x
_atom_site_fract_y
_atom_site_fract_z
_atom_site_occupancy
Tb1 Tb 0.000 0.000 0.000 1
Tb2 Tb 0.000 0.333 0.000 1
Sm1 Sm 0.000 0.166 0.500 1
Tm1 Tm 0.246 0.336 0.749 1
Tm2 Tm 0.246 0.500 0.250 1
Pb1 Pb 0.000 0.500 0.500 1
```

Main lines, by intensity (2θ from 5° to 70°):
2θ/deg	Rel. int.	hkl
31.28	100.0	1 3 1
36.28	50.6	2 0 2
62.18	31.9	2 0 6
52.19	18.0	1 3 5
52.30	17.9	0 6 0
65.31	9.2	2 6 2
62.07	7.2	1 3 -7
62.26	3.5	4 0 0
65.13	3.1	0 0 8


No. 4
The following is a simulated XRD peak list of Sm10Te3Pb3. It was derived from a structure optimized by DFT (GGA-PBE), using Cu Kα (weighted mean of Kα1 and Kα2).

```
data_Sm10Te3Pb3
_chemical_formula_sum 'Sm10 Te3 Pb3'
_cell_length_a 9.2880
_cell_length_b 9.2880
_cell_length_c 6.4640
_cell_angle_alpha 90.00
_cell_angle_beta 90.00
_cell_angle_gamma 120.00
_space_group_name_H-M_alt 'P -6 2 m'
_space_group_IT_number 189
_space_group_name_Hall 'P -6 -2'
loop_
_atom_site_label
_atom_site_type_symbol
_atom_site_fract_x
_atom_site_fract_y
_atom_site_fract_z
_atom_site_occupancy
Sm1 Sm 0.0000 0.2459 0.0000 1
Sm2 Sm 0.0000 0.7527 0.5000 1
Sm3 Sm 0.3333 0.6667 0.2510 1
Te1 Te 0.0000 0.3843 0.5000 1
Pb1 Pb 0.0000 0.6102 0.0000 1
```

Main lines, by intensity (2θ from 5° to 70°):
2θ/deg	Rel. int.	hkl
32.55	100.0	2 1 1
33.79	81.4	1 1 2
33.42	54.2	3 0 0
52.04	32.9	2 1 3
29.38	27.3	2 1 0
27.60	20.9	0 0 2
48.26	20.5	2 2 2
64.73	17.8	5 0 2
42.88	15.9	3 1 1
67.70	14.2	3 0 4